1.
CeMgAl: computed powder diffraction line list (λ = 1.5418 Å (Cu Kα)), based on the PBE geometry in Alexandria.
Intensities are scaled so that the largest is 100.

Atomic structure:
```
CeMgAl
1.0
4.972 0.000 0.000
-2.486 4.306 0.000
0.000 0.000 3.284
Ce Mg Al
1 1 1
Direct
0.000 0.000 0.000
0.667 0.333 0.500
0.333 0.667 0.500
```

Peak list (10 most intense, 2θ from 10° to 90°, in order of falling intensity)
| 2theta | d_spacing | I/Imax |
| --- | --- | --- |
| 34.3 | 2.611 | 100 |
| 20.6 | 4.306 | 83 |
| 36.1 | 2.486 | 58 |
| 50.7 | 1.800 | 33 |
| 63.8 | 1.458 | 33 |
| 68.5 | 1.370 | 18 |
| 86.8 | 1.122 | 14 |
| 42.0 | 2.153 | 13 |
| 45.8 | 1.982 | 12 |
| 56.6 | 1.627 | 11 |

---

2.
Nd2Ho7Th: computed powder diffraction line list (λ = 1.5418 Å (Cu Kα)), based on the PBE geometry in Alexandria.
Intensities are scaled so that the largest is 100.

Atomic structure:
```
Nd2Ho7Th
1.0
5.300 -9.930 0.000
5.300 9.930 0.000
0.000 0.000 3.470
Nd Ho Th
2 7 1
Direct
0.178 0.822 0.000
0.822 0.178 0.000
0.000 0.000 0.000
0.190 0.359 0.000
0.328 0.672 0.500
0.359 0.190 0.000
0.641 0.810 0.000
0.672 0.328 0.500
0.810 0.641 0.000
0.500 0.500 0.500
```

Peak list (10 most intense, 2θ from 10° to 90°, in order of falling intensity)
| 2theta | d_spacing | I/Imax |
| --- | --- | --- |
| 31.9 | 2.807 | 100 |
| 35.4 | 2.537 | 49 |
| 36.6 | 2.457 | 46 |
| 33.8 | 2.650 | 40 |
| 27.4 | 3.253 | 39 |
| 63.0 | 1.476 | 29 |
| 55.8 | 1.646 | 26 |
| 30.8 | 2.903 | 22 |
| 24.6 | 3.623 | 20 |
| 63.8 | 1.459 | 15 |

---

3.
CaPmSe2O8: computed powder diffraction line list (λ = 1.5418 Å (Cu Kα)), based on the PBE geometry in Alexandria.
Intensities are scaled so that the largest is 100.

Atomic structure:
```
CaPmSe2O8
1.0
5.786 0.000 0.000
-2.893 5.011 0.000
0.000 0.000 7.086
Ca Pm Se O
1 1 2 8
Direct
0.000 0.000 0.000
0.000 0.000 0.500
0.333 0.667 0.805
0.667 0.333 0.195
0.165 0.330 0.733
0.165 0.835 0.733
0.330 0.165 0.267
0.333 0.667 0.038
0.667 0.333 0.962
0.670 0.835 0.733
0.835 0.165 0.267
0.835 0.670 0.267
```

Peak list (10 most intense, 2θ from 10° to 90°, in order of falling intensity)
| 2theta | d_spacing | I/Imax |
| --- | --- | --- |
| 30.9 | 2.893 | 100 |
| 21.7 | 4.091 | 99 |
| 55.0 | 1.670 | 38 |
| 49.8 | 1.830 | 33 |
| 44.3 | 2.046 | 29 |
| 17.7 | 5.011 | 22 |
| 89.7 | 1.093 | 18 |
| 64.4 | 1.446 | 16 |
| 68.8 | 1.364 | 16 |
| 73.2 | 1.294 | 15 |